Entry 1:
Simulated X-ray diffraction stick pattern of Ta4CoRe3 for Cu Ka, from DFT lattice parameters and positions (PBE).
Intensities are scaled so that the largest is 100.

Most intense lines, 10 to 90 degrees two-theta, sorted by position:
2theta	I (rel.)
14.08	2.0
28.85	1.9
31.42	2.0
35.33	3.3
39.93	51.7
40.25	100.0
57.75	17.7
58.70	8.0
72.73	35.4
73.36	16.7
86.14	5.9
86.96	11.0

Atomic structure:
```
Ta4CoRe3
1.0
3.1930 0.0000 0.0000
0.0000 3.1930 0.0000
0.0000 0.0000 12.5819
Ta Co Re
4 1 3
direct
0.0000 0.0000 0.1198 Ta
0.0000 0.0000 0.3727 Ta
0.0000 0.0000 0.6273 Ta
0.0000 0.0000 0.8802 Ta
0.5000 0.5000 0.0000 Co
0.5000 0.5000 0.2440 Re
0.5000 0.5000 0.5000 Re
0.5000 0.5000 0.7560 Re
```



Entry 2:
Simulated X-ray diffraction stick pattern of TaCo2Re for Cu Ka, from DFT lattice parameters and positions (PBE).
Intensities are scaled so that the largest is 100.

Most intense lines, 10 to 90 degrees two-theta, sorted by position:
2theta	I (rel.)
24.02	24.4
33.39	21.6
41.55	100.0
47.94	33.0
49.18	15.3
54.32	11.6
60.75	8.5
70.14	10.4
71.12	20.0
75.33	4.7
84.94	25.1
86.81	12.0

Atomic structure:
```
TaCo2Re
1.0
-1.8975 1.8975 3.7052
1.8975 -1.8975 3.7052
1.8975 1.8975 -3.7052
Ta Co Re
1 2 1
direct
0.0000 0.0000 0.0000 Ta
0.2500 0.7500 0.5000 Co
0.7500 0.2500 0.5000 Co
0.5000 0.5000 0.0000 Re
```



Entry 3:
Simulated X-ray diffraction stick pattern of Ta6Co5Re for Cu Ka, from DFT lattice parameters and positions (PBE).
Intensities are scaled so that the largest is 100.

Most intense lines, 10 to 90 degrees two-theta, sorted by position:
2theta	I (rel.)
27.79	20.4
29.46	31.7
40.45	48.0
40.96	100.0
41.40	47.7
42.14	94.0
57.42	17.0
61.18	15.3
73.09	15.0
74.40	15.9
75.93	14.9
76.58	15.4

Atomic structure:
```
Ta6Co5Re
1.0
4.4674 0.0000 0.0000
0.0000 6.0594 0.0000
-1.8663 0.0000 6.5423
Ta Co Re
6 5 1
direct
0.0000 0.2450 0.0000 Ta
0.0000 0.7550 0.0000 Ta
0.3503 0.2474 0.6558 Ta
0.3503 0.7526 0.6558 Ta
0.6497 0.2474 0.3442 Ta
0.6497 0.7526 0.3442 Ta
0.1074 0.0000 0.3151 Co
0.1186 0.5000 0.3241 Co
0.5000 0.0000 0.0000 Co
0.8814 0.5000 0.6759 Co
0.8926 0.0000 0.6849 Co
0.5000 0.5000 0.0000 Re
```



Entry 4:
Simulated X-ray diffraction stick pattern of CoRe6Tc2 for Cu Ka, from DFT lattice parameters and positions (PBE).
Intensities are scaled so that the largest is 100.

Most intense lines, 10 to 90 degrees two-theta, sorted by position:
2theta	I (rel.)
14.83	37.1
18.43	24.8
23.92	30.5
32.95	100.0
34.08	37.1
37.35	37.0
39.01	26.6
45.10	73.3
48.96	33.1
49.31	45.4
52.75	36.2
82.14	28.3

Atomic structure:
```
CoRe6Tc2
1.0
5.2617 0.0000 0.0000
0.0000 5.2617 0.0000
0.0000 0.0000 11.9440
Co Re Tc
2 12 4
direct
0.0000 0.0000 0.0000 Co
0.5000 0.5000 0.5000 Co
0.2001 0.2001 0.3853 Re
0.2001 0.2001 0.6147 Re
0.2039 0.7961 0.5000 Re
0.2961 0.2961 0.0000 Re
0.2999 0.7001 0.1147 Re
0.2999 0.7001 0.8853 Re
0.7001 0.2999 0.1147 Re
0.7001 0.2999 0.8853 Re
0.7039 0.7039 0.0000 Re
0.7961 0.2039 0.5000 Re
0.7999 0.7999 0.3853 Re
0.7999 0.7999 0.6147 Re
0.0000 0.0000 0.2208 Tc
0.0000 0.0000 0.7792 Tc
0.5000 0.5000 0.2792 Tc
0.5000 0.5000 0.7208 Tc
```



Entry 5:
Simulated X-ray diffraction stick pattern of TmCoRe for Cu Ka, from DFT lattice parameters and positions (PBE).
Intensities are scaled so that the largest is 100.

Most intense lines, 10 to 90 degrees two-theta, sorted by position:
2theta	I (rel.)
20.09	8.5
21.56	19.5
33.46	29.5
36.96	13.5
37.79	98.6
40.83	100.0
53.88	9.0
56.85	32.8
59.33	8.6
68.24	11.6
70.29	32.6
84.46	19.8

Atomic structure:
```
TmCoRe
1.0
-2.3815 2.6180 4.1201
2.3815 -2.6180 4.1201
2.3815 2.6180 -4.1201
Tm Co Re
2 2 2
direct
0.3802 0.1302 0.2500 Tm
0.6198 0.8698 0.7500 Tm
0.0254 0.7754 0.2500 Co
0.9746 0.2246 0.7500 Co
0.0000 0.5000 0.5000 Re
0.5000 0.5000 0.0000 Re
```



Entry 6:
Simulated X-ray diffraction stick pattern of VCoRe2 for Cu Ka, from DFT lattice parameters and positions (PBE).
Intensities are scaled so that the largest is 100.

Most intense lines, 10 to 90 degrees two-theta, sorted by position:
2theta	I (rel.)
23.67	29.5
33.48	25.1
41.41	100.0
48.08	32.4
48.43	15.9
54.27	13.7
60.16	10.2
70.35	10.2
70.63	20.2
75.40	5.5
85.06	24.9
85.58	12.3

Atomic structure:
```
VCoRe2
1.0
3.7849 0.0000 0.0000
0.0000 3.7849 0.0000
0.0000 0.0000 3.7594
V Co Re
1 1 2
direct
0.0000 0.0000 0.0000 V
0.5000 0.5000 0.0000 Co
0.0000 0.5000 0.5000 Re
0.5000 0.0000 0.5000 Re
```